Entry 1:
Simulated XRD peak list
Compound: Bi3P2O10
Radiation: λ = 1.5418 Å (Cu Kα)
Structure: the GGA-PBE geometry in Alexandria
No peak broadening, texture or thermal motion is included.

Peak list (10 most intense, 2θ from 5° to 70°, by angle)
2θ = 13.95°, d = 6.350 Å, I = 27.0, hkl 1 0 0
2θ = 14.80°, d = 5.987 Å, I = 25.9, hkl 1 -1 0
2θ = 15.81°, d = 5.605 Å, I = 21.5, hkl 1 0 -1
2θ = 26.66°, d = 3.344 Å, I = 28.1, hkl 1 0 2
2θ = 27.53°, d = 3.240 Å, I = 39.9, hkl 1 -2 2
2θ = 27.59°, d = 3.233 Å, I = 100.0, hkl -2 1 1
2θ = 29.21°, d = 3.057 Å, I = 22.1, hkl 0 1 -3
2θ = 31.57°, d = 2.834 Å, I = 27.7, hkl 2 0 1
2θ = 32.52°, d = 2.753 Å, I = 22.5, hkl 1 1 -3
2θ = 32.65°, d = 2.742 Å, I = 29.4, hkl 1 2 -1

Structural model:
```
data_Bi3P2O10
_symmetry_space_group_name_H-M 'P -1'
_symmetry_Int_Tables_number 2
_cell_length_a 6.931
_cell_length_b 7.753
_cell_length_c 9.237
_cell_angle_alpha 106.42
_cell_angle_beta 92.64
_cell_angle_gamma 111.64
loop_
_symmetry_equiv_pos_as_xyz
'x,y,z'
'-x,-y,-z'
loop_
_atom_site_label
_atom_site_type_symbol
_atom_site_fract_x
_atom_site_fract_y
_atom_site_fract_z
_atom_site_occupancy
Bi1 Bi 0.047 0.194 0.407 1
Bi2 Bi 0.169 0.871 0.995 1
Bi3 Bi 0.319 0.302 0.819 1
P1 P 0.147 0.600 0.247 1
P2 P 0.464 0.740 0.745 1
O1 O 0.024 0.378 0.855 1
O2 O 0.062 0.031 0.866 1
O3 O 0.119 0.380 0.190 1
O4 O 0.130 0.659 0.417 1
O5 O 0.166 0.104 0.600 1
O6 O 0.286 0.817 0.741 1
O7 O 0.359 0.159 0.335 1
O8 O 0.362 0.729 0.216 1
O9 O 0.376 0.512 0.675 1
O10 O 0.451 0.198 0.078 1
```


Entry 2:
Simulated XRD peak list
Compound: Bi2P4O13
Radiation: λ = 1.5418 Å (Cu Kα)
Structure: the GGA-PBE geometry in Alexandria
No peak broadening, texture or thermal motion is included.

Peak list (10 most intense, 2θ from 5° to 70°, by angle)
2θ = 13.75°, d = 6.440 Å, I = 63.2, hkl 0 0 2
2θ = 15.17°, d = 5.842 Å, I = 100.0, hkl 2 0 0
2θ = 18.74°, d = 4.736 Å, I = 88.1, hkl 1 1 -2
2θ = 23.20°, d = 3.834 Å, I = 46.9, hkl 2 0 2
2θ = 25.48°, d = 3.496 Å, I = 58.5, hkl 0 2 0
2θ = 26.19°, d = 3.402 Å, I = 54.4, hkl 3 1 0
2θ = 26.53°, d = 3.360 Å, I = 36.2, hkl 3 1 -2
2θ = 29.58°, d = 3.020 Å, I = 91.7, hkl 1 1 -4
2θ = 29.79°, d = 2.999 Å, I = 57.0, hkl 2 2 0
2θ = 33.40°, d = 2.683 Å, I = 41.7, hkl 1 1 4

Structural model:
```
data_Bi2P4O13
_symmetry_space_group_name_H-M 'C 1 2/c 1'
_symmetry_Int_Tables_number 15
_cell_length_a 12.153
_cell_length_b 6.991
_cell_length_c 13.397
_cell_angle_alpha 90.00
_cell_angle_beta 105.98
_cell_angle_gamma 90.00
loop_
_symmetry_equiv_pos_as_xyz
'x,y,z'
'-x,-y,-z'
'-x,y,-z+1/2'
'x,-y,z+1/2'
'x+1/2,y+1/2,z'
'-x+1/2,-y+1/2,-z'
'-x+1/2,y+1/2,-z+1/2'
'x+1/2,-y+1/2,z+1/2'
loop_
_atom_site_label
_atom_site_type_symbol
_atom_site_fract_x
_atom_site_fract_y
_atom_site_fract_z
_atom_site_occupancy
Bi1 Bi 0.198 0.002 0.059 1
P1 P 0.010 0.351 0.863 1
P2 P 0.230 0.491 0.658 1
O1 O 0.000 0.261 0.750 1
O2 O 0.002 0.187 0.934 1
O3 O 0.097 0.492 0.656 1
O4 O 0.110 0.487 0.893 1
O5 O 0.201 0.008 0.229 1
O6 O 0.245 0.181 0.404 1
O7 O 0.247 0.331 0.097 1
```


Entry 3:
Simulated XRD peak list
Compound: Bi3P2O10
Radiation: λ = 1.5418 Å (Cu Kα)
Structure: the GGA-PBE geometry in Alexandria
No peak broadening, texture or thermal motion is included.

Peak list (10 most intense, 2θ from 5° to 70°, by angle)
2θ = 13.88°, d = 6.381 Å, I = 75.2, hkl 0 1 0
2θ = 15.94°, d = 5.559 Å, I = 57.5, hkl 0 1 -1
2θ = 19.99°, d = 4.442 Å, I = 41.5, hkl 1 -1 0
2θ = 21.19°, d = 4.193 Å, I = 64.3, hkl 1 1 -1
2θ = 26.27°, d = 3.393 Å, I = 35.6, hkl 0 2 -1
2θ = 26.77°, d = 3.330 Å, I = 73.9, hkl 1 0 -2
2θ = 27.37°, d = 3.258 Å, I = 100.0, hkl 1 0 1
2θ = 29.78°, d = 3.000 Å, I = 50.4, hkl 1 -2 0
2θ = 32.03°, d = 2.795 Å, I = 56.8, hkl 2 0 -1
2θ = 33.44°, d = 2.679 Å, I = 42.7, hkl -1 1 2

Structural model:
```
data_Bi3P2O10
_symmetry_space_group_name_H-M 'P 1'
_symmetry_Int_Tables_number 1
_cell_length_a 5.603
_cell_length_b 6.882
_cell_length_c 7.145
_cell_angle_alpha 108.37
_cell_angle_beta 112.99
_cell_angle_gamma 93.63
loop_
_symmetry_equiv_pos_as_xyz
'x,y,z'
loop_
_atom_site_label
_atom_site_type_symbol
_atom_site_fract_x
_atom_site_fract_y
_atom_site_fract_z
_atom_site_occupancy
Bi1 Bi 0.000 0.000 0.000 1
Bi2 Bi 0.258 0.587 0.703 1
Bi3 Bi 0.622 0.859 0.276 1
P1 P 0.271 0.059 0.602 1
P2 P 0.575 0.408 0.356 1
O1 O 0.078 0.035 0.362 1
O2 O 0.111 0.911 0.665 1
O3 O 0.203 0.745 0.012 1
O4 O 0.323 0.286 0.761 1
O5 O 0.333 0.486 0.387 1
O6 O 0.483 0.169 0.212 1
O7 O 0.529 0.988 0.613 1
O8 O 0.660 0.785 0.962 1
O9 O 0.661 0.525 0.231 1
O10 O 0.811 0.447 0.579 1
```


Entry 4:
Simulated XRD peak list
Compound: Bi6P2O15
Radiation: λ = 1.5418 Å (Cu Kα)
Structure: the GGA-PBE geometry in Alexandria
No peak broadening, texture or thermal motion is included.

Peak list (10 most intense, 2θ from 5° to 70°, by angle)
2θ = 8.51°, d = 10.390 Å, I = 14.3, hkl 1 1 0
2θ = 17.22°, d = 5.149 Å, I = 18.3, hkl 1 1 1
2θ = 22.76°, d = 3.907 Å, I = 9.7, hkl 2 2 1
2θ = 27.69°, d = 3.222 Å, I = 100.0, hkl 2 4 1
2θ = 29.23°, d = 3.055 Å, I = 15.8, hkl 4 0 0
2θ = 29.88°, d = 2.990 Å, I = 22.0, hkl 3 3 1
2θ = 30.15°, d = 2.964 Å, I = 16.8, hkl 0 0 2
2θ = 42.49°, d = 2.128 Å, I = 9.7, hkl 4 0 2
2θ = 49.35°, d = 1.847 Å, I = 9.5, hkl 5 7 0
2θ = 56.73°, d = 1.623 Å, I = 12.3, hkl 7 3 1

Structural model:
```
data_Bi6P2O15
_symmetry_space_group_name_H-M 'C c c 2'
_symmetry_Int_Tables_number 37
_cell_length_a 12.222
_cell_length_b 19.728
_cell_length_c 5.929
_cell_angle_alpha 90.00
_cell_angle_beta 90.00
_cell_angle_gamma 90.00
loop_
_symmetry_equiv_pos_as_xyz
'x,y,z'
'-x,-y,z'
'-x,y,z+1/2'
'x,-y,z+1/2'
'x+1/2,y+1/2,z'
'-x+1/2,-y+1/2,z'
'-x+1/2,y+1/2,z+1/2'
'x+1/2,-y+1/2,z+1/2'
loop_
_atom_site_label
_atom_site_type_symbol
_atom_site_fract_x
_atom_site_fract_y
_atom_site_fract_z
_atom_site_occupancy
Bi1 Bi 0.099 0.206 0.000 1
Bi2 Bi 0.114 0.064 0.599 1
Bi3 Bi 0.165 0.425 0.986 1
P1 P 0.109 0.342 0.476 1
O1 O 0.000 0.000 0.284 1
O2 O 0.012 0.156 0.722 1
O3 O 0.034 0.405 0.483 1
O4 O 0.050 0.275 0.410 1
O5 O 0.162 0.097 0.951 1
O6 O 0.169 0.334 0.707 1
O7 O 0.199 0.353 0.288 1
O8 O 0.219 0.492 0.708 1
```


Entry 5:
Simulated XRD peak list
Compound: BiP2O7
Radiation: λ = 1.5418 Å (Cu Kα)
Structure: the GGA-PBE geometry in Alexandria
No peak broadening, texture or thermal motion is included.

Peak list (10 most intense, 2θ from 5° to 70°, by angle)
2θ = 16.13°, d = 5.495 Å, I = 100.0, hkl 0 1 1
2θ = 18.30°, d = 4.848 Å, I = 12.4, hkl 1 0 -1
2θ = 20.65°, d = 4.300 Å, I = 41.7, hkl 1 1 0
2θ = 25.21°, d = 3.532 Å, I = 17.9, hkl 1 0 1
2θ = 27.37°, d = 3.258 Å, I = 45.1, hkl 1 2 -1
2θ = 27.82°, d = 3.207 Å, I = 28.5, hkl 1 1 -2
2θ = 32.56°, d = 2.750 Å, I = 25.8, hkl 0 2 2
2θ = 33.10°, d = 2.707 Å, I = 13.1, hkl 0 3 1
2θ = 37.34°, d = 2.408 Å, I = 10.6, hkl 1 1 2
2θ = 40.40°, d = 2.232 Å, I = 12.0, hkl 1 3 -2

Structural model:
```
data_BiP2O7
_symmetry_space_group_name_H-M 'P 1 21 1'
_symmetry_Int_Tables_number 4
_cell_length_a 5.215
_cell_length_b 8.796
_cell_length_c 7.444
_cell_angle_alpha 90.00
_cell_angle_beta 109.03
_cell_angle_gamma 90.00
loop_
_symmetry_equiv_pos_as_xyz
'x,y,z'
'-x,y+1/2,-z'
loop_
_atom_site_label
_atom_site_type_symbol
_atom_site_fract_x
_atom_site_fract_y
_atom_site_fract_z
_atom_site_occupancy
Bi1 Bi 0.215 0.000 0.225 1
P1 P 0.216 0.734 0.604 1
P2 P 0.401 0.315 0.014 1
O1 O 0.038 0.198 0.341 1
O2 O 0.119 0.834 0.427 1
O3 O 0.208 0.451 0.975 1
O4 O 0.264 0.158 0.997 1
O5 O 0.374 0.592 0.583 1
O6 O 0.413 0.811 0.109 1
O7 O 0.415 0.842 0.767 1
```


Entry 6:
Simulated XRD peak list
Compound: Bi3P3O14
Radiation: λ = 1.5418 Å (Cu Kα)
Structure: the GGA-PBE geometry in Alexandria
No peak broadening, texture or thermal motion is included.

Peak list (10 most intense, 2θ from 5° to 70°, by angle)
2θ = 14.30°, d = 6.193 Å, I = 58.6, hkl 1 1 0
2θ = 19.76°, d = 4.493 Å, I = 47.6, hkl 2 0 -1
2θ = 19.88°, d = 4.466 Å, I = 47.3, hkl 2 0 1
2θ = 24.90°, d = 3.576 Å, I = 17.1, hkl 3 1 0
2θ = 28.55°, d = 3.126 Å, I = 22.1, hkl 0 2 1
2θ = 28.83°, d = 3.096 Å, I = 100.0, hkl 4 0 0
2θ = 31.06°, d = 2.880 Å, I = 38.7, hkl 1 1 -2
2θ = 31.21°, d = 2.866 Å, I = 33.9, hkl 2 0 2
2θ = 41.05°, d = 2.199 Å, I = 31.0, hkl 1 3 -1
2θ = 51.09°, d = 1.788 Å, I = 18.4, hkl 6 2 0

Structural model:
```
data_Bi3P3O14
_symmetry_space_group_name_H-M 'C 1 2 1'
_symmetry_Int_Tables_number 5
_cell_length_a 12.397
_cell_length_b 7.145
_cell_length_c 6.487
_cell_angle_alpha 90.00
_cell_angle_beta 90.50
_cell_angle_gamma 90.00
loop_
_symmetry_equiv_pos_as_xyz
'x,y,z'
'-x,y,-z'
'x+1/2,y+1/2,z'
'-x+1/2,y+1/2,-z'
loop_
_atom_site_label
_atom_site_type_symbol
_atom_site_fract_x
_atom_site_fract_y
_atom_site_fract_z
_atom_site_occupancy
Bi1 Bi 0.000 0.000 0.000 1
Bi2 Bi 0.246 0.734 0.334 1
P1 P 0.000 0.037 0.500 1
P2 P 0.225 0.716 0.832 1
O1 O 0.013 0.449 0.092 1
O2 O 0.061 0.914 0.340 1
O3 O 0.077 0.160 0.632 1
O4 O 0.126 0.774 0.963 1
O5 O 0.184 0.178 0.006 1
O6 O 0.200 0.540 0.697 1
O7 O 0.242 0.369 0.326 1
```